No. 1
Starting from DFT lattice parameters and positions (GGA-PBE), the PXRD pattern of Pm6GaSe3S2 was simulated for λ = 1.5418 Å (Cu Kα).

Most intense lines, 10° ≤ 2θ ≤ 90°, in order of rising 2θ:
| 2θ (°) | I (rel.) |
| --- | --- |
| 26.5 | 222 |
| 30.3 | 505 |
| 30.4 | 1000 |
| 43.2 | 371 |
| 43.7 | 368 |
| 54.6 | 189 |

Structure:
```
Pm6GaSe3S2
1.0
9.1410 -2.0474 0.0000
9.1410 2.0474 0.0000
-2.1025 0.0000 8.1833
Pm Ga Se S
6 1 3 2
Direct
0.0034 0.0034 0.2496
0.3302 0.3302 0.4284
0.3359 0.3359 0.9087
0.6641 0.6641 0.0913
0.6698 0.6698 0.5716
0.9966 0.9966 0.7504
0.5000 0.5000 0.0000
0.1673 0.1673 0.8297
0.5000 0.5000 0.5000
0.8327 0.8327 0.1703
0.1685 0.1685 0.3342
0.8315 0.8315 0.6658
```



No. 2
Starting from DFT lattice parameters and positions (GGA-PBE), the PXRD pattern of Pm5GaSb4 was simulated for λ = 1.5418 Å (Cu Kα).

Most intense lines, 10° ≤ 2θ ≤ 90°, in order of rising 2θ:
| 2θ (°) | I (rel.) |
| --- | --- |
| 28.3 | 1000 |
| 40.5 | 763 |
| 50.2 | 273 |
| 58.6 | 85 |
| 66.3 | 350 |
| 73.7 | 258 |

Structure:
```
Pm5GaSb4
1.0
-4.9839 4.9839 3.1470
4.9839 -4.9839 3.1470
4.9839 4.9839 -3.1470
Pm Ga Sb
5 1 4
Direct
0.0000 0.0000 0.0000
0.2000 0.6020 0.8019
0.3980 0.2000 0.5980
0.6020 0.8000 0.4020
0.8000 0.3980 0.1981
0.5000 0.5000 0.0000
0.0977 0.3002 0.3980
0.3002 0.9023 0.2025
0.6998 0.0977 0.7975
0.9023 0.6998 0.6020
```



No. 3
Starting from DFT lattice parameters and positions (GGA-PBE), the PXRD pattern of Pm4GaSb3 was simulated for λ = 1.5418 Å (Cu Kα).

Most intense lines, 10° ≤ 2θ ≤ 90°, in order of rising 2θ:
| 2θ (°) | I (rel.) |
| --- | --- |
| 28.4 | 1000 |
| 40.5 | 763 |
| 50.2 | 273 |
| 58.7 | 128 |
| 66.4 | 350 |
| 73.7 | 258 |

Structure:
```
Pm4GaSb3
1.0
6.2950 0.0000 0.0000
0.0000 6.2950 0.0000
0.0000 0.0000 6.2950
Pm Ga Sb
4 1 3
Direct
0.0000 0.0000 0.0000
0.0000 0.5000 0.5000
0.5000 0.0000 0.5000
0.5000 0.5000 0.0000
0.5000 0.5000 0.5000
0.0000 0.0000 0.5000
0.0000 0.5000 0.0000
0.5000 0.0000 0.0000
```



No. 4
Starting from DFT lattice parameters and positions (GGA-PBE), the PXRD pattern of PmScGa6 was simulated for λ = 1.5418 Å (Cu Kα).

Most intense lines, 10° ≤ 2θ ≤ 90°, in order of rising 2θ:
| 2θ (°) | I (rel.) |
| --- | --- |
| 33.3 | 274 |
| 38.8 | 1000 |
| 39.4 | 225 |
| 59.5 | 158 |
| 71.0 | 160 |
| 73.7 | 164 |

Structure:
```
PmScGa6
1.0
6.2148 0.0000 0.0000
-3.1074 5.3822 0.0000
0.0000 0.0000 4.5766
Pm Sc Ga
1 1 6
Direct
0.0000 0.0000 0.0000
0.6667 0.3333 0.5000
0.0249 0.5124 0.0000
0.1885 0.3769 0.5000
0.1885 0.8115 0.5000
0.4876 0.5124 0.0000
0.4876 0.9751 0.0000
0.6231 0.8115 0.5000
```



No. 5
Starting from DFT lattice parameters and positions (GGA-PBE), the PXRD pattern of PmScGa3 was simulated for λ = 1.5418 Å (Cu Kα).

Most intense lines, 10° ≤ 2θ ≤ 90°, in order of rising 2θ:
| 2θ (°) | I (rel.) |
| --- | --- |
| 32.4 | 1000 |
| 33.1 | 390 |
| 42.0 | 425 |
| 43.6 | 232 |
| 44.0 | 226 |
| 62.4 | 256 |

Structure:
```
PmScGa3
1.0
2.0591 -12.5712 0.0000
2.0591 12.5712 0.0000
0.0000 0.0000 4.1543
Pm Sc Ga
2 2 6
Direct
0.0757 0.9243 0.7500
0.9243 0.0757 0.2500
0.2050 0.7950 0.2500
0.7950 0.2050 0.7500
0.3176 0.6824 0.2500
0.3756 0.6244 0.7500
0.4748 0.5252 0.7500
0.5252 0.4748 0.2500
0.6244 0.3756 0.2500
0.6824 0.3176 0.7500
```



No. 6
Starting from DFT lattice parameters and positions (GGA-PBE), the PXRD pattern of Pm3GaSe4 was simulated for λ = 1.5418 Å (Cu Kα).

Most intense lines, 10° ≤ 2θ ≤ 90°, in order of rising 2θ:
| 2θ (°) | I (rel.) |
| --- | --- |
| 20.2 | 518 |
| 20.6 | 1000 |
| 30.3 | 760 |
| 35.6 | 955 |
| 36.4 | 458 |
| 47.4 | 846 |

Structure:
```
Pm3GaSe4
1.0
5.9025 0.0000 0.0000
0.0000 9.8675 0.0000
0.0000 0.0000 8.8031
Pm Ga Se
6 2 8
Direct
0.2500 0.0014 0.1633
0.2500 0.2500 0.6818
0.2500 0.4986 0.1633
0.7500 0.5014 0.8367
0.7500 0.7500 0.3182
0.7500 0.9986 0.8367
0.2500 0.7500 0.6570
0.7500 0.2500 0.3430
0.2500 0.2500 0.3479
0.2500 0.5087 0.8357
0.2500 0.7500 0.3264
0.2500 0.9913 0.8357
0.7500 0.0087 0.1643
0.7500 0.2500 0.6736
0.7500 0.4913 0.1643
0.7500 0.7500 0.6521
```